[1]
The following is a computed PXRD pattern of Ca4MgCu2. It was derived from DFT lattice parameters and positions (GGA-PBE), using Cu Ka.
No peak broadening, texture or thermal motion is included.

Cell: 5.385 5.385 15.546 Å, 90.00 90.00 120.05°
Sites, in units of the cell vectors:
Ca: 0.000 0.000 0.000
Ca: 0.000 0.000 0.500
Ca: 0.333 0.667 0.624
Ca: 0.333 0.667 0.876
Ca: 0.334 0.666 0.250
Ca: 0.666 0.334 0.750
Ca: 0.667 0.333 0.124
Ca: 0.667 0.333 0.376
Mg: 0.001 0.999 0.250
Mg: 0.999 0.001 0.750
Cu: 0.335 0.665 0.063
Cu: 0.335 0.665 0.437
Cu: 0.665 0.335 0.563
Cu: 0.665 0.335 0.937

Most intense lines, 15 to 90 degrees two-theta, low angle first:
4.662 Å, 2θ = 19.04°, intensity 15.2
2.985 Å, 2θ = 29.93°, intensity 19.3
2.692 Å, 2θ = 33.28°, intensity 100.0
2.587 Å, 2θ = 34.67°, intensity 66.6
1.866 Å, 2θ = 48.81°, intensity 31.7
1.554 Å, 2θ = 59.48°, intensity 17.2
1.533 Å, 2θ = 60.38°, intensity 22.0
1.346 Å, 2θ = 69.89°, intensity 12.2



[2]
The following is a computed PXRD pattern of AcSiRh3. It was derived from DFT lattice parameters and positions (GGA-PBE), using Cu Ka.
No peak broadening, texture or thermal motion is included.

Cell: 6.482 6.482 6.482 Å, 119.99 89.98 120.04°
Sites, in units of the cell vectors:
Ac: 0.259 0.009 0.250
Ac: 0.741 0.991 0.750
Si: 0.000 0.500 0.500
Si: 0.500 0.500 0.000
Rh: 0.235 0.485 0.750
Rh: 0.243 0.000 0.743
Rh: 0.243 0.500 0.243
Rh: 0.757 0.000 0.257
Rh: 0.757 0.500 0.757
Rh: 0.765 0.515 0.250

Most intense lines, 15 to 90 degrees two-theta, low angle first:
4.583 Å, 2θ = 19.37°, intensity 7.4
3.241 Å, 2θ = 27.52°, intensity 20.1
2.646 Å, 2θ = 33.88°, intensity 100.0
2.292 Å, 2θ = 39.32°, intensity 61.5
1.871 Å, 2θ = 48.66°, intensity 9.1
1.620 Å, 2θ = 56.82°, intensity 41.4
1.382 Å, 2θ = 67.82°, intensity 39.0
1.323 Å, 2θ = 71.28°, intensity 13.8



[3]
The following is a computed PXRD pattern of RbNpZnBr6. It was derived from DFT lattice parameters and positions (GGA-PBE), using Cu Ka.
No peak broadening, texture or thermal motion is included.

Cell: 7.266 7.266 7.554 Å, 90.05 90.05 119.20°
Sites, in units of the cell vectors:
Rb: 0.000 0.000 0.000
Np: 0.668 0.332 0.500
Zn: 0.334 0.666 0.500
Br: 0.021 0.636 0.707
Br: 0.028 0.390 0.292
Br: 0.364 0.383 0.711
Br: 0.364 0.979 0.293
Br: 0.610 0.972 0.708
Br: 0.617 0.636 0.289

Most intense lines, 15 to 90 degrees two-theta, low angle first:
4.858 Å, 2θ = 18.26°, intensity 99.1
4.823 Å, 2θ = 18.39°, intensity 51.6
3.305 Å, 2θ = 26.98°, intensity 39.7
3.275 Å, 2θ = 27.23°, intensity 83.4
2.633 Å, 2θ = 34.05°, intensity 51.9
2.619 Å, 2θ = 34.24°, intensity 100.0
2.114 Å, 2θ = 42.77°, intensity 41.1
2.069 Å, 2θ = 43.76°, intensity 28.7



[4]
The following is a computed PXRD pattern of Sr3LiCu2O6. It was derived from DFT lattice parameters and positions (GGA-PBE), using Cu Ka.
No peak broadening, texture or thermal motion is included.

Cell: 5.778 5.778 6.419 Å, 90.00 90.00 120.00°
Sites, in units of the cell vectors:
Sr: 0.000 0.000 0.000
Sr: 0.333 0.667 0.636
Sr: 0.667 0.333 0.364
Li: 0.000 0.000 0.500
Cu: 0.333 0.667 0.188
Cu: 0.667 0.333 0.812
O: 0.164 0.328 0.292
O: 0.164 0.836 0.292
O: 0.328 0.164 0.708
O: 0.672 0.836 0.292
O: 0.836 0.164 0.708
O: 0.836 0.672 0.708

Most intense lines, 15 to 90 degrees two-theta, low angle first:
3.947 Å, 2θ = 22.53°, intensity 39.7
2.889 Å, 2θ = 30.95°, intensity 100.0
2.702 Å, 2θ = 33.16°, intensity 81.2
2.331 Å, 2θ = 38.62°, intensity 18.3
1.973 Å, 2θ = 45.99°, intensity 53.0
1.668 Å, 2θ = 55.05°, intensity 19.4
1.630 Å, 2θ = 56.47°, intensity 35.1
1.445 Å, 2θ = 64.51°, intensity 19.4



[5]
The following is a computed PXRD pattern of K2FeCo. It was derived from DFT lattice parameters and positions (GGA-PBE), using Cu Ka.
No peak broadening, texture or thermal motion is included.

Cell: 3.924 3.924 9.688 Å, 101.11 101.11 61.79°
Sites, in units of the cell vectors:
K: 0.000 0.000 0.000
K: 0.175 0.175 0.538
Fe: 0.420 0.420 0.269
Co: 0.756 0.756 0.269

Most intense lines, 15 to 90 degrees two-theta, low angle first:
3.147 Å, 2θ = 28.36°, intensity 71.1
3.111 Å, 2θ = 28.69°, intensity 75.1
3.032 Å, 2θ = 29.46°, intensity 38.3
2.946 Å, 2θ = 30.34°, intensity 100.0
2.904 Å, 2θ = 30.79°, intensity 48.7
2.633 Å, 2θ = 34.05°, intensity 52.5
2.360 Å, 2θ = 38.13°, intensity 51.2
1.961 Å, 2θ = 46.30°, intensity 61.3



[6]
The following is a computed PXRD pattern of Ta6AlW. It was derived from DFT lattice parameters and positions (GGA-PBE), using Cu Ka.
No peak broadening, texture or thermal motion is included.

Cell: 5.212 5.214 5.220 Å, 90.00 90.08 90.00°
Sites, in units of the cell vectors:
Ta: 0.000 0.000 0.247
Ta: 0.000 0.000 0.753
Ta: 0.253 0.500 0.001
Ta: 0.500 0.247 0.500
Ta: 0.500 0.753 0.500
Ta: 0.747 0.500 0.999
Al: 0.000 0.500 0.500
W: 0.500 0.000 0.000

Most intense lines, 15 to 90 degrees two-theta, low angle first:
2.608 Å, 2θ = 34.39°, intensity 20.4
2.332 Å, 2θ = 38.60°, intensity 100.0
2.129 Å, 2θ = 42.45°, intensity 45.7
1.506 Å, 2θ = 61.60°, intensity 12.0
1.447 Å, 2θ = 64.38°, intensity 12.4
1.446 Å, 2θ = 64.45°, intensity 9.9
1.394 Å, 2θ = 67.14°, intensity 17.7
1.138 Å, 2θ = 85.30°, intensity 15.8



[7]
The following is a computed PXRD pattern of NdTmTeAs. It was derived from DFT lattice parameters and positions (GGA-PBE), using Cu Ka.
No peak broadening, texture or thermal motion is included.

Cell: 7.827 7.827 7.827 Å, 30.96 30.96 30.96°
Sites, in units of the cell vectors:
Nd: 0.000 0.000 0.000
Tm: 0.189 0.189 0.189
Te: 0.431 0.431 0.431
As: 0.592 0.592 0.592

Most intense lines, 15 to 90 degrees two-theta, low angle first:
3.572 Å, 2θ = 24.93°, intensity 26.0
3.442 Å, 2θ = 25.88°, intensity 22.9
3.037 Å, 2θ = 29.41°, intensity 37.2
2.812 Å, 2θ = 31.82°, intensity 100.0
2.393 Å, 2θ = 37.58°, intensity 34.3
2.089 Å, 2θ = 43.31°, intensity 56.4
1.677 Å, 2θ = 54.74°, intensity 21.5
1.308 Å, 2θ = 72.24°, intensity 18.7



[8]
The following is a computed PXRD pattern of Pr2Cd3Pt2. It was derived from DFT lattice parameters and positions (GGA-PBE), using Cu Ka.
No peak broadening, texture or thermal motion is included.

Cell: 5.581 5.581 7.607 Å, 108.30 108.30 47.68°
Sites, in units of the cell vectors:
Pr: 0.140 0.140 0.284
Pr: 0.860 0.860 0.716
Cd: 0.372 0.372 0.060
Cd: 0.500 0.500 0.500
Cd: 0.628 0.628 0.940
Pt: 0.158 0.158 0.698
Pt: 0.842 0.842 0.302

Most intense lines, 15 to 90 degrees two-theta, low angle first:
2.907 Å, 2θ = 30.76°, intensity 28.9
2.706 Å, 2θ = 33.10°, intensity 67.4
2.608 Å, 2θ = 34.39°, intensity 59.1
2.512 Å, 2θ = 35.74°, intensity 100.0
2.460 Å, 2θ = 36.53°, intensity 60.2
2.397 Å, 2θ = 37.52°, intensity 29.2
2.256 Å, 2θ = 39.97°, intensity 73.9
2.202 Å, 2θ = 40.99°, intensity 26.0



[9]
The following is a computed PXRD pattern of Cr2IrOs. It was derived from DFT lattice parameters and positions (GGA-PBE), using Cu Ka.
No peak broadening, texture or thermal motion is included.

Cell: 4.004 5.069 5.069 Å, 30.65 90.00 90.00°
Sites, in units of the cell vectors:
Cr: 0.000 0.000 0.000
Cr: 0.500 0.122 0.122
Ir: 0.000 0.734 0.734
Os: 0.500 0.390 0.390

Most intense lines, 15 to 90 degrees two-theta, low angle first:
4.888 Å, 2θ = 18.15°, intensity 23.8
3.097 Å, 2θ = 28.82°, intensity 53.3
2.171 Å, 2θ = 41.60°, intensity 100.0
2.086 Å, 2θ = 43.37°, intensity 66.0
2.070 Å, 2θ = 43.74°, intensity 54.6
2.002 Å, 2θ = 45.30°, intensity 32.9
1.439 Å, 2θ = 64.79°, intensity 33.9
1.127 Å, 2θ = 86.30°, intensity 18.1



[10]
The following is a computed PXRD pattern of PmSc2. It was derived from DFT lattice parameters and positions (GGA-PBE), using Cu Ka.
No peak broadening, texture or thermal motion is included.

Cell: 5.332 5.332 6.683 Å, 90.00 90.00 119.99°
Sites, in units of the cell vectors:
Pm: 0.167 0.833 0.750
Pm: 0.833 0.167 0.250
Sc: 0.166 0.834 0.250
Sc: 0.500 0.500 0.000
Sc: 0.500 0.500 0.500
Sc: 0.834 0.166 0.750

Most intense lines, 15 to 90 degrees two-theta, low angle first:
3.799 Å, 2θ = 23.42°, intensity 68.2
3.341 Å, 2θ = 26.68°, intensity 23.4
2.707 Å, 2θ = 33.09°, intensity 73.9
2.666 Å, 2θ = 33.62°, intensity 100.0
2.084 Å, 2θ = 43.42°, intensity 37.9
1.899 Å, 2θ = 47.89°, intensity 25.1
1.547 Å, 2θ = 59.78°, intensity 25.0
1.416 Å, 2θ = 65.99°, intensity 26.4



[11]
The following is a computed PXRD pattern of CePaSe. It was derived from DFT lattice parameters and positions (GGA-PBE), using Cu Ka.
No peak broadening, texture or thermal motion is included.

Cell: 4.068 4.068 9.685 Å, 90.25 90.25 89.51°
Sites, in units of the cell vectors:
Ce: 0.249 0.249 0.325
Ce: 0.751 0.751 0.675
Pa: 0.285 0.285 0.942
Pa: 0.715 0.715 0.058
Se: 0.251 0.251 0.637
Se: 0.749 0.749 0.363

Most intense lines, 15 to 90 degrees two-theta, low angle first:
3.228 Å, 2θ = 27.63°, intensity 66.6
3.121 Å, 2θ = 28.60°, intensity 59.0
2.889 Å, 2θ = 30.95°, intensity 92.9
2.864 Å, 2θ = 31.23°, intensity 100.0
2.534 Å, 2θ = 35.42°, intensity 57.5
2.524 Å, 2θ = 35.57°, intensity 40.7
2.144 Å, 2θ = 42.14°, intensity 76.0
2.034 Å, 2θ = 44.54°, intensity 68.8



What is the formula in the eighth record? Pr2Cd3Pt2